This entry pairs a crystal structure of FeRe2Mo2S8 with its theoretical powder XRD pattern. Radiation: λ = 1.5418 Å (Cu Kα). Structure: the PBE geometry in the Materials Project.
Kinematic intensities with the Lorentz-polarization factor, no thermal factor.

Peak list (10 most intense, 5 to 70 degrees two-theta, most intense first)
2θ/deg	I/Imax	h k l
15.8	100	0 1 1
30.6	72	0 1 3
37.0	48	2 2 0
18.3	38	0 0 2
53.4	37	2 2 4
48.6	31	0 3 3
15.9	30	1 0 1
48.9	27	0 1 5
40.6	26	2 1 3
37.2	25	0 0 4

Structural model:
```
data_FeRe2Mo2S8
_chemical_formula_sum 'Fe2 Re4 Mo4 S16'
_cell_length_a 6.8455
_cell_length_b 6.9113
_cell_length_c 9.6790
_cell_angle_alpha 90.00
_cell_angle_beta 90.00
_cell_angle_gamma 90.00
_symmetry_space_group_name_H-M 'I m m 2'
_symmetry_Int_Tables_number 44
_symmetry_space_group_name_Hall 'I 2 -2'
loop_
_atom_site_label
_atom_site_type_symbol
_atom_site_fract_x
_atom_site_fract_y
_atom_site_fract_z
Fe1 Fe 0.0000 0.0000 0.0000
Re1 Re 0.2062 0.0000 0.3950
Mo1 Mo 0.0000 0.2041 0.6022
S1 S 0.0000 0.2660 0.3638
S2 S 0.0000 0.2757 0.8661
S3 S 0.2300 0.5000 0.1331
S4 S 0.2315 0.5000 0.6374
```



This entry pairs a crystal structure of FeMo6S8 with its theoretical powder XRD pattern. Radiation: λ = 1.5418 Å (Cu Kα). Structure: the PBE geometry in the Materials Project.
Kinematic intensities with the Lorentz-polarization factor, no thermal factor.

Peak list (10 most intense, 5 to 70 degrees two-theta, most intense first)
2θ/deg	I/Imax	h k l
13.7	100	1 0 1
46.3	48	2 2 3
40.9	40	4 -3 1
33.7	38	3 -2 2
30.3	28	3 -1 1
43.7	22	0 1 5
43.6	20	3 1 2
52.0	19	5 -3 2
44.9	18	2 1 4
18.9	13	1 1 0

Structural model:
```
data_FeMo6S8
_chemical_formula_sum 'Fe3 Mo18 S24'
_cell_length_a 9.3784
_cell_length_b 9.3784
_cell_length_c 10.7105
_cell_angle_alpha 90.00
_cell_angle_beta 90.00
_cell_angle_gamma 120.00
_symmetry_space_group_name_H-M 'R -3'
_symmetry_Int_Tables_number 148
_symmetry_space_group_name_Hall '-R 3'
loop_
_atom_site_label
_atom_site_type_symbol
_atom_site_fract_x
_atom_site_fract_y
_atom_site_fract_z
Fe1 Fe 0.0000 0.0000 0.0000
Mo1 Mo 0.0167 0.1750 0.3929
S1 S 0.0000 0.0000 0.2167
S2 S 0.0098 0.3828 0.2519
```



This entry pairs a crystal structure of FeMo2S4 with its theoretical powder XRD pattern. Radiation: λ = 1.5418 Å (Cu Kα). Structure: the PBE geometry in the Materials Project.
Kinematic intensities with the Lorentz-polarization factor, no thermal factor.

Peak list (10 most intense, 5 to 70 degrees two-theta, most intense first)
2θ/deg	I/Imax	h k l
15.4	100	0 0 2
35.1	87	2 2 3
45.5	83	2 2 -3
31.7	67	2 2 1
44.4	58	2 2 5
17.1	57	0 1 -1
34.6	43	0 2 -2
57.4	41	4 2 2
42.7	35	0 2 4
54.5	35	2 4 1

Structural model:
```
data_FeMo2S4
_chemical_formula_sum 'Fe4 Mo8 S16'
_cell_length_a 6.4223
_cell_length_b 6.7561
_cell_length_c 11.9621
_cell_angle_alpha 80.45
_cell_angle_beta 74.47
_cell_angle_gamma 61.64
_symmetry_space_group_name_H-M 'P 1'
_symmetry_Int_Tables_number 1
_symmetry_space_group_name_Hall 'P 1'
loop_
_atom_site_label
_atom_site_type_symbol
_atom_site_fract_x
_atom_site_fract_y
_atom_site_fract_z
Fe1 Fe 0.0000 0.0000 0.0000
Fe2 Fe 0.2446 0.4992 0.4999
Fe3 Fe 0.4892 0.0082 0.9998
Fe4 Fe 0.7428 0.5079 0.4998
Mo1 Mo 0.0765 0.5570 0.7589
Mo2 Mo 0.1419 0.9451 0.7387
Mo3 Mo 0.3250 0.0613 0.2609
Mo4 Mo 0.4152 0.4432 0.2400
Mo5 Mo 0.5928 0.5631 0.7596
Mo6 Mo 0.6598 0.9514 0.7396
Mo7 Mo 0.8513 0.0559 0.2603
Mo8 Mo 0.8928 0.4508 0.2413
S1 S 0.0039 0.3412 0.6346
S2 S 0.0300 0.8271 0.5985
S3 S 0.2103 0.6705 0.8954
S4 S 0.2317 0.1622 0.8608
S5 S 0.2622 0.8399 0.1359
S6 S 0.2757 0.3362 0.1043
S7 S 0.4664 0.1684 0.3962
S8 S 0.4786 0.6652 0.3654
S9 S 0.5052 0.3461 0.6367
S10 S 0.5253 0.8380 0.6034
S11 S 0.7054 0.6808 0.8999
S12 S 0.7322 0.1664 0.8644
S13 S 0.7537 0.8458 0.1387
S14 S 0.7867 0.3266 0.1002
S15 S 0.9554 0.1801 0.4016
S16 S 0.9872 0.6614 0.3628
```